Record 1
Structure and computed powder diffraction line list of VS3F (the PBE+U geometry in Alexandria; a wavelength of 1.5418 Å).
Peak positions follow from Bragg's law for the DFT cell and can differ from measured ones.

Cell: 4.528 4.528 4.528 Å, 90.00 90.00 90.00°
Atoms (fractional coordinates):
V 0.000 0.000 0.000
S 0.000 0.000 0.500
S 0.000 0.500 0.000
S 0.500 0.000 0.000
F 0.500 0.500 0.500

Principal peaks in the range 2θ = 15–90°, in order of rising 2θ:
two_theta, intensity, (hkl)
19.6, 100, 1 0 0
27.9, 26, 1 1 0
34.3, 34, 1 1 1
39.8, 98, 2 0 0
44.8, 39, 2 1 0
49.3, 10, 2 1 1
57.6, 59, 2 2 0
61.4, 18, 3 0 0
68.8, 10, 3 1 1
72.3, 19, 2 2 2
85.8, 9, 4 0 0
89.2, 11, 4 1 0

---

Record 2
Structure and computed powder diffraction line list of Zn2Ni3O8 (the PBE+U geometry in Alexandria; a wavelength of 1.5418 Å).
Peak positions follow from Bragg's law for the DFT cell and can differ from measured ones.

Cell: 5.774 5.774 9.130 Å, 90.00 90.00 120.00°
Atoms (fractional coordinates):
Zn 0.333 0.667 0.000
Zn 0.333 0.667 0.382
Zn 0.667 0.333 0.500
Zn 0.667 0.333 0.882
Ni 0.165 0.331 0.711
Ni 0.165 0.835 0.711
Ni 0.331 0.165 0.211
Ni 0.669 0.835 0.711
Ni 0.835 0.165 0.211
Ni 0.835 0.669 0.211
O 0.000 0.000 0.315
O 0.000 0.000 0.815
O 0.038 0.519 0.829
O 0.155 0.310 0.105
O 0.155 0.845 0.105
O 0.310 0.155 0.605
O 0.333 0.667 0.603
O 0.481 0.519 0.829
O 0.481 0.962 0.829
O 0.519 0.038 0.329
O 0.519 0.481 0.329
O 0.667 0.333 0.103
O 0.690 0.845 0.105
O 0.845 0.155 0.605
O 0.845 0.690 0.605
O 0.962 0.481 0.329

Principal peaks in the range 2θ = 15–90°, in order of rising 2θ:
two_theta, intensity, (hkl)
19.4, 45, 0 0 2
26.4, 68, 1 0 2
34.5, 100, 1 0 3
35.9, 35, 2 0 0
36.8, 94, 1 1 2
37.3, 97, 2 0 1
47.0, 25, 2 0 3
57.4, 55, 2 1 3
59.0, 22, 3 0 2
63.0, 66, 2 0 5
64.6, 56, 2 2 0
75.3, 23, 3 1 3